1.
This entry pairs a crystal structure of AlFe3F15 with its simulated powder X-ray diffraction pattern. Radiation: Cu Kα (λ = 1.5418 Å). Structure: a crystal structure in the Materials Project, relaxed with GGA+U.
Peak positions follow from Bragg's law for the DFT cell and can differ from measured ones.

Crystal structure
Cell lengths 5.950, 10.973, 9.257 Å; angles 90.00, 105.19, 90.00 degrees
Space group P2_1/m (No. 11)
Unique sites:
Al (0.062, 0.250, 0.259) (multiplicity 2)
Fe (0.487, 0.502, 0.665) (multiplicity 4)
Fe (0.500, 0.000, 0.000) (multiplicity 2)
F (0.080, 0.750, 0.924) (multiplicity 2)
F (0.096, 0.750, 0.616) (multiplicity 2)
F (0.139, 0.750, 0.278) (multiplicity 2)
F (0.228, 0.090, 0.623) (multiplicity 4)
F (0.244, 0.122, 0.291) (multiplicity 4)
F (0.247, 0.090, 0.953) (multiplicity 4)
F (0.371, 0.586, 0.147) (multiplicity 4)
F (0.374, 0.591, 0.473) (multiplicity 4)
F (0.378, 0.598, 0.818) (multiplicity 4)

Peak list (8 most intense, 10° ≤ 2θ ≤ 80°, in order of rising 2θ)
2θ (°), I/Imax
15.43, 503
16.15, 414
22.41, 1000
29.99, 176
34.24, 143
38.99, 124
44.91, 164
45.74, 147

=====

2.
This entry pairs a crystal structure of Al2Fe3F15 with its simulated powder X-ray diffraction pattern. Radiation: Cu Kα (λ = 1.5418 Å). Structure: a crystal structure in the Materials Project, relaxed with GGA+U.
Peak positions follow from Bragg's law for the DFT cell and can differ from measured ones.

Crystal structure
Cell lengths 8.387, 6.220, 10.760 Å; angles 90.00, 108.10, 90.00 degrees
Space group C2/m (No. 12)
Unique sites:
Al (0.157, 0.000, 0.159) (multiplicity 4)
Fe (0.000, 0.500, 0.000) (multiplicity 2)
Fe (0.128, 0.000, 0.634) (multiplicity 4)
F (0.000, 0.000, 0.000) (multiplicity 2)
F (0.000, 0.198, 0.500) (multiplicity 4)
F (0.024, 0.000, 0.767) (multiplicity 4)
F (0.138, 0.295, 0.138) (multiplicity 8)
F (0.168, 0.500, 0.379) (multiplicity 4)
F (0.175, 0.500, 0.921) (multiplicity 4)
F (0.200, 0.500, 0.688) (multiplicity 4)

Peak list (8 most intense, 10° ≤ 2θ ≤ 80°, in order of rising 2θ)
2θ (°), I/Imax
18.51, 468
23.66, 1000
27.50, 827
28.71, 673
39.21, 388
39.39, 317
48.40, 356
50.12, 304

=====

3.
This entry pairs a crystal structure of AlFe4Hg2O2F with its simulated powder X-ray diffraction pattern. Radiation: Cu Kα (λ = 1.5418 Å). Structure: a crystal structure in the Materials Project, relaxed with GGA+U.
Peak positions follow from Bragg's law for the DFT cell and can differ from measured ones.

Crystal structure
Cell lengths 9.994, 9.994, 9.309 Å; angles 90.00, 90.00, 90.00 degrees
Space group I4cm (No. 108)
Unique sites:
Al (0.000, 0.000, 0.000) (multiplicity 4)
Fe (0.040, 0.221, 0.149) (multiplicity 16)
Hg (0.152, 0.348, 0.858) (multiplicity 8)
O (0.163, 0.337, 0.229) (multiplicity 8)
F (0.000, 0.000, 0.312) (multiplicity 4)

Peak list (8 most intense, 10° ≤ 2θ ≤ 80°, in order of rising 2θ)
2θ (°), I/Imax
22.06, 1000
28.24, 205
31.80, 156
34.30, 307
35.21, 502
38.37, 175
41.00, 242
50.12, 189

=====

4.
This entry pairs a crystal structure of AlFe4Hg2O2F with its simulated powder X-ray diffraction pattern. Radiation: Cu Kα (λ = 1.5418 Å). Structure: a crystal structure in the Materials Project, relaxed with GGA+U.
Peak positions follow from Bragg's law for the DFT cell and can differ from measured ones.

Crystal structure
Cell lengths 11.046, 11.046, 7.604 Å; angles 90.00, 90.00, 90.00 degrees
Space group I4cm (No. 108)
Unique sites:
Al (0.000, 0.000, 0.000) (multiplicity 4)
Fe (0.072, 0.230, 0.450) (multiplicity 16)
Hg (0.114, 0.386, 0.780) (multiplicity 8)
O (0.212, 0.288, 0.346) (multiplicity 8)
F (0.000, 0.000, 0.240) (multiplicity 4)

Peak list (8 most intense, 10° ≤ 2θ ≤ 80°, in order of rising 2θ)
2θ (°), I/Imax
11.33, 331
21.45, 716
23.40, 206
26.07, 299
31.48, 1000
39.98, 344
40.37, 275
41.70, 184

=====

5.
This entry pairs a crystal structure of KMgMn2AlGe3O10F2 with its simulated powder X-ray diffraction pattern. Radiation: Cu Kα (λ = 1.5418 Å). Structure: a crystal structure in the Materials Project, relaxed with GGA+U.
Peak positions follow from Bragg's law for the DFT cell and can differ from measured ones.

Crystal structure
Cell lengths 5.556, 5.560, 10.702 Å; angles 95.29, 95.05, 119.88 degrees
Space group P1 (No. 1)
Unique sites:
K (0.000, 0.000, 0.000) (multiplicity 1)
Mg (0.183, 0.838, 0.531) (multiplicity 1)
Mn (0.506, 0.504, 0.535) (multiplicity 1)
Mn (0.851, 0.185, 0.535) (multiplicity 1)
Al (0.268, 0.602, 0.801) (multiplicity 1)
Ge (0.418, 0.752, 0.252) (multiplicity 1)
Ge (0.600, 0.264, 0.806) (multiplicity 1)
Ge (0.754, 0.420, 0.252) (multiplicity 1)
O (0.062, 0.622, 0.182) (multiplicity 1)
O (0.214, 0.555, 0.632) (multiplicity 1)
O (0.386, 0.954, 0.866) (multiplicity 1)
O (0.468, 0.805, 0.418) (multiplicity 1)
O (0.500, 0.499, 0.185) (multiplicity 1)
O (0.527, 0.526, 0.859) (multiplicity 1)
O (0.535, 0.195, 0.634) (multiplicity 1)
O (0.628, 0.063, 0.186) (multiplicity 1)
O (0.817, 0.481, 0.418) (multiplicity 1)
O (0.954, 0.378, 0.858) (multiplicity 1)
F (0.142, 0.112, 0.426) (multiplicity 1)
F (0.897, 0.872, 0.624) (multiplicity 1)

Peak list (8 most intense, 10° ≤ 2θ ≤ 80°, in order of rising 2θ)
2θ (°), I/Imax
18.64, 394
25.07, 519
25.38, 531
27.15, 318
29.16, 333
32.70, 1000
35.24, 377
57.35, 394

=====

6.
This entry pairs a crystal structure of KAlNiF6 with its simulated powder X-ray diffraction pattern. Radiation: Cu Kα (λ = 1.5418 Å). Structure: a crystal structure in the Materials Project, relaxed with GGA+U.
Peak positions follow from Bragg's law for the DFT cell and can differ from measured ones.

Crystal structure
Cell lengths 7.091, 7.140, 10.079 Å; angles 90.00, 90.00, 90.00 degrees
Space group Imma (No. 74)
Unique sites:
K (0.000, 0.250, 0.132) (multiplicity 4)
Al (0.250, 0.250, 0.750) (multiplicity 4)
Ni (0.000, 0.000, 0.500) (multiplicity 4)
F (0.000, 0.250, 0.412) (multiplicity 4)
F (0.000, 0.250, 0.801) (multiplicity 4)
F (0.210, 0.068, 0.628) (multiplicity 16)

Peak list (8 most intense, 10° ≤ 2θ ≤ 80°, in order of rising 2θ)
2θ (°), I/Imax
15.26, 795
29.39, 1000
29.49, 327
30.69, 304
30.84, 209
46.78, 162
47.00, 249
51.32, 415

=====

7.
This entry pairs a crystal structure of Mn3Al2F15 with its simulated powder X-ray diffraction pattern. Radiation: Cu Kα (λ = 1.5418 Å). Structure: a crystal structure in the Materials Project, relaxed with GGA+U.
Peak positions follow from Bragg's law for the DFT cell and can differ from measured ones.

Crystal structure
Cell lengths 5.332, 9.719, 9.849 Å; angles 90.00, 99.61, 90.00 degrees
Space group P2_1/m (No. 11)
Unique sites:
Mn (0.000, 0.000, 0.000) (multiplicity 2)
Mn (0.311, 0.009, 0.334) (multiplicity 4)
Al (0.145, 0.250, 0.561) (multiplicity 2)
Al (0.479, 0.250, 0.907) (multiplicity 2)
F (0.049, 0.250, 0.387) (multiplicity 2)
F (0.052, 0.081, 0.175) (multiplicity 4)
F (0.072, 0.613, 0.397) (multiplicity 4)
F (0.254, 0.115, 0.948) (multiplicity 4)
F (0.293, 0.250, 0.735) (multiplicity 2)
F (0.321, 0.618, 0.158) (multiplicity 4)
F (0.332, 0.750, 0.937) (multiplicity 2)
F (0.383, 0.108, 0.532) (multiplicity 4)
F (0.443, 0.608, 0.713) (multiplicity 4)

Peak list (8 most intense, 10° ≤ 2θ ≤ 80°, in order of rising 2θ)
2θ (°), I/Imax
17.79, 191
18.26, 182
25.60, 1000
27.00, 134
32.78, 143
45.94, 154
52.60, 156
52.91, 177

=====

8.
This entry pairs a crystal structure of AlMo3F15 with its simulated powder X-ray diffraction pattern. Radiation: Cu Kα (λ = 1.5418 Å). Structure: a crystal structure in the Materials Project, relaxed with GGA+U.
Peak positions follow from Bragg's law for the DFT cell and can differ from measured ones.

Crystal structure
Cell lengths 6.041, 9.987, 10.112 Å; angles 90.00, 104.86, 90.00 degrees
Space group P2_1/m (No. 11)
Unique sites:
Al (0.034, 0.250, 0.261) (multiplicity 2)
Mo (0.480, 0.546, 0.333) (multiplicity 4)
Mo (0.500, 0.000, 0.000) (multiplicity 2)
F (0.098, 0.750, 0.615) (multiplicity 2)
F (0.122, 0.750, 0.901) (multiplicity 2)
F (0.207, 0.104, 0.284) (multiplicity 4)
F (0.217, 0.117, 0.619) (multiplicity 4)
F (0.228, 0.107, 0.955) (multiplicity 4)
F (0.355, 0.610, 0.127) (multiplicity 4)
F (0.385, 0.592, 0.516) (multiplicity 4)
F (0.392, 0.750, 0.331) (multiplicity 2)
F (0.398, 0.578, 0.798) (multiplicity 4)

Peak list (8 most intense, 10° ≤ 2θ ≤ 80°, in order of rising 2θ)
2θ (°), I/Imax
15.17, 1000
17.76, 420
17.92, 150
23.44, 813
27.38, 223
27.72, 218
32.82, 131
47.93, 142

=====

9.
This entry pairs a crystal structure of AlNi3F15 with its simulated powder X-ray diffraction pattern. Radiation: Cu Kα (λ = 1.5418 Å). Structure: a crystal structure in the Materials Project, relaxed with GGA+U.
Peak positions follow from Bragg's law for the DFT cell and can differ from measured ones.

Crystal structure
Cell lengths 5.872, 10.654, 8.888 Å; angles 90.00, 105.68, 90.00 degrees
Space group P2_1/m (No. 11)
Unique sites:
Al (0.066, 0.250, 0.257) (multiplicity 2)
Ni (0.482, 0.000, 0.666) (multiplicity 4)
Ni (0.500, 0.000, 0.000) (multiplicity 2)
F (0.073, 0.750, 0.935) (multiplicity 2)
F (0.107, 0.750, 0.622) (multiplicity 2)
F (0.147, 0.750, 0.297) (multiplicity 2)
F (0.221, 0.090, 0.626) (multiplicity 4)
F (0.239, 0.093, 0.946) (multiplicity 4)
F (0.253, 0.120, 0.293) (multiplicity 4)
F (0.362, 0.591, 0.460) (multiplicity 4)
F (0.376, 0.589, 0.133) (multiplicity 4)
F (0.385, 0.599, 0.829) (multiplicity 4)

Peak list (8 most intense, 10° ≤ 2θ ≤ 80°, in order of rising 2θ)
2θ (°), I/Imax
15.67, 552
16.64, 438
22.94, 1000
31.36, 114
35.45, 99
42.69, 103
46.89, 193
62.74, 106